This entry pairs a crystal structure of CaAgCO4 with its simulated X-ray powder pattern. Radiation: copper Kα. Structure: a structure optimized by DFT (GGA-PBE).
Intensities are scaled so that the largest is 100.

```
data_CaAgCO4
_chemical_formula_sum 'Ca4 Ag4 C4 O16'
_cell_length_a 5.433
_cell_length_b 7.503
_cell_length_c 8.189
_cell_angle_alpha 90.00
_cell_angle_beta 90.00
_cell_angle_gamma 90.00
_space_group_name_H-M_alt 'I m m a'
_space_group_IT_number 74
_space_group_name_Hall '-I 2b 2'
loop_
_atom_site_label
_atom_site_type_symbol
_atom_site_fract_x
_atom_site_fract_y
_atom_site_fract_z
_atom_site_occupancy
Ca1 Ca 0.000 0.000 0.000 1
Ag1 Ag 0.250 0.250 0.250 1
C1 C 0.000 0.250 0.605 1
O1 O 0.000 0.099 0.696 1
O2 O 0.222 0.250 0.502 1
```

Peak list (10 most intense, 10 to 90 degrees two-theta, by angle)
| 2theta | I_rel | index |
| --- | --- | --- |
| 16.02 | 100 | 0 1 1 |
| 23.72 | 32 | 0 2 0 |
| 32.37 | 31 | 0 2 2 |
| 34.98 | 27 | 0 1 3 |
| 36.86 | 76 | 2 1 1 |
| 37.61 | 31 | 0 3 1 |
| 41.02 | 45 | 2 2 0 |
| 44.25 | 23 | 0 0 4 |
| 48.83 | 21 | 2 1 3 |
| 61.91 | 26 | 2 2 4 |